Starting from a GGA+U-relaxed structure, the XRD peak list of Na2NiF6 was computed for Cu Kα.

Atomic structure:
```
data_Na2NiF6
_chemical_formula_sum 'Na4 Ni2 F12'
_cell_length_a 5.4383
_cell_length_b 5.7649
_cell_length_c 9.0607
_cell_angle_alpha 90.00
_cell_angle_beta 123.24
_cell_angle_gamma 90.00
_symmetry_space_group_name_H-M 'P 1 21/c 1'
_symmetry_Int_Tables_number 14
loop_
_symmetry_equiv_pos_as_xyz
'x,y,z'
'-x,-y,-z'
'-x,y+1/2,-z+1/2'
'x,-y+1/2,z+1/2'
loop_
_atom_site_label
_atom_site_type_symbol
_atom_site_fract_x
_atom_site_fract_y
_atom_site_fract_z
Na1 Na 0.2138 0.0757 0.2430
Ni1 Ni 0.5000 0.0000 0.0000
F1 F 0.1840 0.1660 0.9530
F2 F 0.2808 0.7396 0.9330
F3 F 0.3984 0.0471 0.7773
```

Principal peaks in the range 2θ = 5–70°, by angle:
Position (°2θ)	d/Å	I_rel
19.3	4.588	100
19.5	4.548	36
20.7	4.288	43
22.5	3.952	18
32.0	2.799	20
33.5	2.675	19
36.9	2.435	16
37.9	2.375	23
40.3	2.238	16
45.9	1.976	18
48.0	1.894	13
57.3	1.607	12